# Ac3Pm2Rh3
Simulated powder X-ray diffraction pattern, λ = 1.5418 Å (Cu Kα). Input: a structure optimized by DFT (GGA-PBE).
Kinematic intensities with the Lorentz-polarization factor, no thermal factor.

Crystal structure
Cell lengths 13.2353, 5.7983, 14.3724 Å; angles 90.00, 92.08, 90.00 degrees
Space group Cm (No. 8)
One atom of each set of equivalent atoms:
Ac: 0.0000 0.0000 0.0000 (multiplicity 2)
Ac: 0.0088 0.0000 0.2633 (multiplicity 2)
Ac: 0.0995 0.5000 0.8029 (multiplicity 2)
Ac: 0.2043 0.5000 0.1338 (multiplicity 2)
Ac: 0.2138 0.0000 0.6343 (multiplicity 2)
Ac: 0.4151 0.5000 0.5105 (multiplicity 2)
Pm: 0.1313 0.5000 0.4418 (multiplicity 2)
Pm: 0.2752 0.0000 0.9427 (multiplicity 2)
Pm: 0.2904 0.0000 0.3193 (multiplicity 2)
Pm: 0.3832 0.5000 0.7699 (multiplicity 2)
Rh: 0.0922 0.0000 0.8186 (multiplicity 2)
Rh: 0.1173 0.0000 0.4392 (multiplicity 2)
Rh: 0.1734 0.0000 0.1313 (multiplicity 2)
Rh: 0.2370 0.5000 0.6252 (multiplicity 2)
Rh: 0.2904 0.5000 0.9382 (multiplicity 2)
Rh: 0.3075 0.5000 0.3285 (multiplicity 2)

Peak list (10 most intense, 2θ from 15° to 90°, sorted by position)
- 5.310 Å, 2θ = 16.69°, I = 66, (1 1 0)
- 3.582 Å, 2θ = 24.86°, I = 32, (1 1 -3)
- 3.203 Å, 2θ = 27.86°, I = 46, (2 0 -4)
- 3.109 Å, 2θ = 28.71°, I = 33, (2 0 4)
- 2.959 Å, 2θ = 30.20°, I = 35, (4 0 2)
- 2.899 Å, 2θ = 30.84°, I = 100, (0 2 0)
- 2.768 Å, 2θ = 32.34°, I = 35, (4 0 -3)
- 2.674 Å, 2θ = 33.51°, I = 35, (4 0 3)
- 2.149 Å, 2θ = 42.04°, I = 31, (2 2 -4)
- 2.002 Å, 2θ = 45.29°, I = 28, (4 2 -3)